Entry 1:
For YMgRu, a cell relaxed with GGA-PBE gives the calculated XRD peak list in this record (Cu Kα (λ = 1.5418 Å)).
Peak positions follow from Bragg's law for the DFT cell and can differ from measured ones.

Atomic structure:
```
YMgRu
1.0
6.392 0.000 0.000
0.000 5.576 0.000
-3.017 0.000 7.354
Y Mg Ru
4 4 4
Cartesian
-0.102 0.572 2.708
-1.610 2.216 6.384
4.985 3.360 0.969
3.477 5.004 4.646
1.757 3.344 2.242
0.249 5.019 5.919
3.127 0.557 1.435
1.618 2.231 5.112
-0.492 3.463 3.804
1.016 4.900 0.128
2.359 0.675 7.226
3.868 2.113 3.549
```

Top 10 peaks for 10 to 80 degrees two-theta, most intense first:
| Position (°2θ) | intensity |
| --- | --- |
| 15.0 | 100.0 |
| 35.7 | 86.8 |
| 37.6 | 69.0 |
| 43.1 | 52.9 |
| 39.6 | 49.8 |
| 34.8 | 48.0 |
| 33.2 | 37.6 |
| 37.0 | 37.1 |
| 46.0 | 34.1 |
| 30.8 | 32.9 |

---

Entry 2:
For YMg2Ru4, a cell relaxed with GGA-PBE gives the calculated XRD peak list in this record (Cu Kα (λ = 1.5418 Å)).
Peak positions follow from Bragg's law for the DFT cell and can differ from measured ones.

Atomic structure:
```
YMg2Ru4
1.0
4.779 0.000 0.000
0.000 4.779 0.000
0.000 0.000 13.622
Y Mg Ru
2 4 8
Cartesian
0.000 0.000 0.000
2.390 2.390 6.811
0.000 0.000 5.236
0.000 0.000 8.385
2.390 2.390 1.575
2.390 2.390 12.047
0.000 0.000 2.662
0.000 0.000 10.960
0.000 2.390 0.000
0.000 2.390 6.811
2.390 0.000 0.000
2.390 0.000 6.811
2.390 2.390 4.149
2.390 2.390 9.473
```

Top 10 peaks for 10 to 80 degrees two-theta, most intense first:
| Position (°2θ) | intensity |
| --- | --- |
| 37.6 | 100.0 |
| 29.5 | 91.7 |
| 38.0 | 73.1 |
| 19.7 | 51.3 |
| 54.6 | 50.0 |
| 13.0 | 46.9 |
| 26.2 | 35.7 |
| 54.3 | 33.8 |
| 46.4 | 29.3 |
| 55.9 | 28.5 |

---

Entry 3:
For MgZn4Ru, a cell relaxed with GGA-PBE gives the calculated XRD peak list in this record (Cu Kα (λ = 1.5418 Å)).
Peak positions follow from Bragg's law for the DFT cell and can differ from measured ones.

Atomic structure:
```
MgZn4Ru
1.0
8.793 0.000 0.000
0.000 2.871 0.000
0.000 0.000 7.477
Mg Zn Ru
2 8 2
Cartesian
2.198 0.000 0.342
6.595 0.000 7.135
0.000 0.000 3.739
0.254 1.436 6.148
2.198 1.436 2.807
4.142 1.436 6.148
4.396 0.000 3.739
4.651 1.436 1.329
6.595 1.436 4.670
8.539 1.436 1.329
2.198 0.000 5.048
6.595 0.000 2.429
```

Top 10 peaks for 10 to 80 degrees two-theta, most intense first:
| Position (°2θ) | intensity |
| --- | --- |
| 41.7 | 100.0 |
| 40.9 | 54.7 |
| 41.1 | 54.3 |
| 11.8 | 51.6 |
| 45.9 | 44.4 |
| 44.8 | 43.7 |
| 39.4 | 43.2 |
| 35.0 | 29.7 |
| 15.6 | 29.7 |
| 67.3 | 22.9 |

---

Entry 4:
For MgZn8Ru2, a cell relaxed with GGA-PBE gives the calculated XRD peak list in this record (Cu Kα (λ = 1.5418 Å)).
Peak positions follow from Bragg's law for the DFT cell and can differ from measured ones.

Atomic structure:
```
MgZn8Ru2
1.0
3.963 -5.159 0.000
3.963 5.159 0.000
0.000 0.000 4.284
Mg Zn Ru
1 8 2
Cartesian
0.000 0.000 0.000
1.340 1.449 2.142
3.963 2.485 0.000
1.340 -1.449 2.142
2.666 0.000 0.000
5.259 0.000 0.000
6.586 1.449 2.142
3.963 -2.485 0.000
6.586 -1.449 2.142
3.963 1.213 2.142
3.963 -1.213 2.142
```

Top 10 peaks for 10 to 80 degrees two-theta, most intense first:
| Position (°2θ) | intensity |
| --- | --- |
| 40.8 | 100.0 |
| 41.1 | 79.8 |
| 42.2 | 48.9 |
| 43.2 | 45.7 |
| 14.1 | 34.5 |
| 62.0 | 29.6 |
| 35.4 | 26.9 |
| 77.4 | 16.5 |
| 20.7 | 16.1 |
| 76.2 | 14.5 |

---

Entry 5:
For Mg4Zn4Ru, a cell relaxed with GGA-PBE gives the calculated XRD peak list in this record (Cu Kα (λ = 1.5418 Å)).
Peak positions follow from Bragg's law for the DFT cell and can differ from measured ones.

Atomic structure:
```
Mg4Zn4Ru
1.0
3.619 -4.317 0.000
3.619 4.317 0.000
-1.236 0.000 5.318
Mg Zn Ru
4 4 1
Cartesian
0.000 0.000 0.000
3.358 2.565 2.630
4.461 0.000 1.150
3.358 -2.565 2.630
1.956 2.046 0.255
1.333 0.000 4.246
1.956 -2.046 0.255
3.836 0.000 3.758
1.973 0.000 1.805
```

Top 10 peaks for 10 to 80 degrees two-theta, most intense first:
| Position (°2θ) | intensity |
| --- | --- |
| 39.7 | 100.0 |
| 16.2 | 96.1 |
| 39.8 | 71.5 |
| 43.1 | 66.8 |
| 41.9 | 48.8 |
| 40.2 | 43.6 |
| 25.3 | 41.4 |
| 27.0 | 32.7 |
| 26.6 | 28.2 |
| 50.5 | 26.7 |

---

Entry 6:
For Mg16Zn12Ru, a cell relaxed with GGA-PBE gives the calculated XRD peak list in this record (Cu Kα (λ = 1.5418 Å)).
Peak positions follow from Bragg's law for the DFT cell and can differ from measured ones.

Atomic structure:
```
Mg16Zn12Ru
1.0
5.113 -7.038 0.000
5.113 7.038 0.000
-4.737 0.000 7.347
Mg Zn Ru
16 12 1
Cartesian
0.000 0.000 0.000
2.364 4.374 2.543
-0.925 1.674 4.767
5.215 4.936 1.985
-1.666 0.000 7.192
1.985 2.509 4.874
-0.925 -1.674 4.767
5.026 2.241 0.495
2.494 4.242 7.201
3.827 0.000 4.803
1.985 -2.509 4.874
5.026 -2.241 0.495
2.364 -4.374 2.543
5.852 0.000 2.360
5.215 -4.936 1.985
2.494 -4.242 7.201
-0.364 4.349 6.151
1.501 5.761 4.913
0.975 0.000 3.553
2.915 1.367 2.288
1.072 0.000 6.195
4.763 2.651 3.523
2.915 -1.367 2.288
-0.364 -4.349 6.151
7.738 1.293 0.209
7.738 -1.293 0.209
1.501 -5.761 4.913
4.763 -2.651 3.523
-1.600 0.000 2.501
```

Top 10 peaks for 10 to 80 degrees two-theta, most intense first:
| Position (°2θ) | intensity |
| --- | --- |
| 37.5 | 100.0 |
| 38.1 | 70.1 |
| 41.9 | 62.1 |
| 40.0 | 61.3 |
| 37.7 | 54.1 |
| 21.8 | 53.7 |
| 42.1 | 49.8 |
| 36.7 | 45.4 |
| 42.3 | 45.2 |
| 21.5 | 37.9 |